Structure and theoretical powder XRD pattern of AcHo2IrN4 (the GGA-PBE geometry in Alexandria; Cu Ka).
Kinematic intensities with the Lorentz-polarization factor, no thermal factor.

Most intense lines, 2θ = 10–90°, by intensity:
| d (Å) | 2theta | Rel. int. | index |
| --- | --- | --- | --- |
| 2.900 | 30.83 | 100 | 1 1 2 |
| 2.397 | 37.52 | 79 | 1 3 2 |
| 3.010 | 29.68 | 55 | 0 4 0 |
| 2.915 | 30.67 | 51 | 0 0 4 |
| 2.094 | 43.20 | 25 | 0 4 4 |
| 3.265 | 27.31 | 24 | 0 2 3 |
| 2.565 | 34.98 | 21 | 1 3 1 |
| 1.494 | 62.14 | 20 | 2 0 4 |
| 1.875 | 48.55 | 19 | 1 5 2 |
| 1.506 | 61.57 | 19 | 2 4 0 |
| 1.740 | 52.60 | 18 | 2 0 0 |
| 1.764 | 51.81 | 16 | 1 5 3 |

Cell and atoms:
Lattice parameters (Å, degrees): 3.480 12.041 11.659 90.00 90.00 90.00
Space group Cmcm (No. 63)
Symmetry-distinct sites (fractional):
Ac1 0.000 0.107 0.250 x4
Ho1 0.000 0.370 0.044 x8
Ir1 0.000 0.154 0.750 x4
N1 0.000 0.000 0.000 x4
N2 0.000 0.268 0.621 x8
N3 0.000 0.438 0.250 x4